MgVF5: simulated X-ray powder pattern (λ = 1.5418 Å (Cu Kα)), based on a DFT-relaxed cell (GGA+U, Alexandria).
No peak broadening, texture or thermal motion is included.

Principal peaks in the range 10 to 90 degrees two-theta, low angle first:
(1 1 0), d 4.333, I = 64
(1 2 0), d 3.436, I = 100
(0 1 2), d 3.362, I = 73
(1 1 -2), d 3.288, I = 34
(1 2 -3), d 2.224, I = 31
(1 3 2), d 1.985, I = 26
(2 3 0), d 1.941, I = 39
(1 4 2), d 1.748, I = 19
(2 4 -2), d 1.717, I = 41
(0 2 4), d 1.681, I = 17

a = 5.133 Å, b = 9.768 Å, c = 7.601 Å
α = 90.00°, β = 109.59°, γ = 90.00°
Space group P2_1/c (No. 14)
Asymmetric unit:
1 Mg 0.025 0.013 0.224 (multiplicity 4)
2 V 0.393 0.242 0.626 (multiplicity 4)
3 F 0.095 0.114 0.613 (multiplicity 4)
4 F 0.142 0.107 0.011 (multiplicity 4)
5 F 0.290 0.638 0.339 (multiplicity 4)
6 F 0.335 0.173 0.360 (multiplicity 4)
7 F 0.357 0.597 0.763 (multiplicity 4)